[1]
Calculated powder diffractogram of V4NiSb4 for Cu Kα (weighted mean of Kα1 and Kα2), from the GGA-PBE geometry in Alexandria.
Kinematic intensities with the Lorentz-polarization factor, no thermal factor.

Cell and atoms:
Cell: 4.2587 4.2587 10.9030 Å, 90.00 90.00 120.00°
Space group P-6m2 (No. 187)
Inequivalent atoms, fractional coordinates:
V 0.0000 0.0000 0.1254
V 0.0000 0.0000 0.3727
Ni 0.3333 0.6667 0.5000
Sb 0.3333 0.6667 0.2467
Sb 0.6667 0.3333 0.0000
Sb 0.6667 0.3333 0.5000

Largest 12 diffraction maxima, sorted by position, 2θ = 10–90°:
| hkl | Position (°2θ) | I/Imax |
| --- | --- | --- |
| 1 0 2 | 29.24 | 100 |
| 0 0 4 | 32.86 | 11 |
| 1 0 4 | 41.18 | 67 |
| 1 1 0 | 42.45 | 76 |
| 2 0 2 | 52.38 | 19 |
| 1 1 4 | 54.70 | 16 |
| 1 0 6 | 56.45 | 15 |
| 2 0 4 | 60.63 | 20 |
| 2 1 2 | 69.62 | 16 |
| 2 1 4 | 76.80 | 19 |
| 3 0 0 | 77.67 | 12 |
| 1 1 8 | 84.38 | 19 |


[2]
Calculated powder diffractogram of Y2NiSb for Cu Kα (weighted mean of Kα1 and Kα2), from the GGA-PBE geometry in Alexandria.
Kinematic intensities with the Lorentz-polarization factor, no thermal factor.

Cell and atoms:
Cell: 4.2258 4.2258 20.8775 Å, 90.00 90.00 120.00°
Space group R3m (No. 160, hexagonal axes)
Inequivalent atoms, fractional coordinates:
Y 0.0000 0.0000 0.0000
Y 0.0000 0.0000 0.1889
Ni 0.0000 0.0000 0.4457
Sb 0.0000 0.0000 0.7572

Largest 12 diffraction maxima, sorted by position, 2θ = 10–90°:
| hkl | Position (°2θ) | I/Imax |
| --- | --- | --- |
| 0 0 3 | 12.72 | 77 |
| 1 0 4 | 29.82 | 100 |
| 0 1 5 | 32.53 | 60 |
| 0 0 9 | 38.82 | 16 |
| 1 0 7 | 38.96 | 43 |
| 1 1 0 | 42.80 | 72 |
| 1 1 3 | 44.83 | 20 |
| 0 2 4 | 53.03 | 19 |
| 2 0 5 | 54.77 | 13 |
| 1 1 9 | 59.18 | 39 |
| 1 1 12 | 70.06 | 15 |
| 2 1 4 | 70.42 | 16 |


[3]
Calculated powder diffractogram of Zn2Ni8Sb for Cu Kα (weighted mean of Kα1 and Kα2), from the GGA-PBE geometry in Alexandria.
Kinematic intensities with the Lorentz-polarization factor, no thermal factor.

Cell and atoms:
Cell: 3.962 5.925 11.776 Å, 90.00 90.00 90.00°
Space group Immm (No. 71)
Inequivalent atoms, fractional coordinates:
Zn 0.000 0.000 0.182
Ni 0.000 0.212 0.000
Ni 0.000 0.273 0.339
Ni 0.000 0.500 0.163
Sb 0.000 0.000 0.500

Largest 12 diffraction maxima, sorted by position, 2θ = 10–90°:
| hkl | Position (°2θ) | I/Imax |
| --- | --- | --- |
| 0 1 1 | 16.75 | 7 |
| 0 1 3 | 27.25 | 6 |
| 1 1 2 | 31.11 | 9 |
| 1 1 4 | 41.12 | 12 |
| 1 2 3 | 44.63 | 100 |
| 2 0 0 | 45.80 | 25 |
| 0 0 6 | 46.26 | 23 |
| 0 4 0 | 62.73 | 7 |
| 2 0 6 | 67.13 | 14 |
| 2 4 0 | 81.06 | 7 |
| 3 2 3 | 83.91 | 14 |
| 1 2 9 | 84.57 | 12 |


[4]
Calculated powder diffractogram of Zn2NiSb for Cu Kα (weighted mean of Kα1 and Kα2), from the GGA-PBE geometry in Alexandria.
Kinematic intensities with the Lorentz-polarization factor, no thermal factor.

Cell and atoms:
Cell: 3.007 4.269 10.650 Å, 90.00 90.00 90.00°
Space group Immm (No. 71)
Inequivalent atoms, fractional coordinates:
Zn 0.000 0.000 0.208
Ni 0.000 0.500 0.500
Sb 0.000 0.500 0.000

Largest 12 diffraction maxima, sorted by position, 2θ = 10–90°:
| hkl | Position (°2θ) | I/Imax |
| --- | --- | --- |
| 0 0 2 | 16.65 | 10 |
| 1 0 1 | 30.90 | 9 |
| 0 1 3 | 32.81 | 23 |
| 0 0 4 | 33.66 | 28 |
| 1 1 2 | 40.41 | 100 |
| 0 2 0 | 42.35 | 25 |
| 1 0 5 | 52.66 | 9 |
| 0 2 4 | 55.15 | 13 |
| 2 0 0 | 61.68 | 8 |
| 1 1 6 | 64.78 | 8 |
| 1 3 2 | 76.14 | 14 |
| 1 1 8 | 82.38 | 8 |


[5]
Calculated powder diffractogram of Zr5NiSb9 for Cu Kα (weighted mean of Kα1 and Kα2), from the GGA-PBE geometry in Alexandria.
Kinematic intensities with the Lorentz-polarization factor, no thermal factor.

Cell and atoms:
Cell: 8.918 8.918 8.807 Å, 90.00 90.00 90.00°
Space group P4/n (No. 85, origin choice 2)
Inequivalent atoms, fractional coordinates:
Zr 0.047 0.853 0.235
Zr 0.250 0.250 0.245
Ni 0.250 0.750 0.500
Sb 0.024 0.335 0.500
Sb 0.052 0.848 0.882
Sb 0.250 0.250 0.891

Largest 12 diffraction maxima, sorted by position, 2θ = 10–90°:
| hkl | Position (°2θ) | I/Imax |
| --- | --- | --- |
| 1 2 2 | 30.23 | 34 |
| 0 0 3 | 30.45 | 32 |
| 3 1 0 | 31.73 | 20 |
| 3 1 1 | 33.36 | 100 |
| 3 1 2 | 37.88 | 58 |
| 1 2 3 | 38.06 | 60 |
| 2 4 0 | 45.48 | 48 |
| 3 1 4 | 52.75 | 12 |
| 2 4 3 | 55.73 | 19 |
| 5 0 3 | 60.76 | 29 |
| 6 2 0 | 66.29 | 15 |
| 5 5 1 | 76.27 | 12 |


[6]
Calculated powder diffractogram of Sc6Ni5 for Cu Kα (weighted mean of Kα1 and Kα2), from the GGA-PBE geometry in Alexandria.
Kinematic intensities with the Lorentz-polarization factor, no thermal factor.

Cell and atoms:
Cell: 4.461 6.285 13.416 Å, 90.00 90.00 90.00°
Space group Immm (No. 71)
Inequivalent atoms, fractional coordinates:
Sc 0.000 0.248 0.164
Sc 0.000 0.251 0.500
Ni 0.000 0.000 0.332
Ni 0.000 0.500 0.000
Ni 0.000 0.500 0.324

Largest 12 diffraction maxima, sorted by position, 2θ = 10–90°:
| hkl | Position (°2θ) | I/Imax |
| --- | --- | --- |
| 0 0 2 | 13.20 | 5 |
| 0 1 1 | 15.57 | 6 |
| 0 1 3 | 24.45 | 4 |
| 1 1 4 | 36.43 | 3 |
| 0 0 6 | 40.34 | 20 |
| 2 0 0 | 40.48 | 100 |
| 2 0 6 | 58.44 | 12 |
| 0 4 0 | 58.77 | 6 |
| 1 2 9 | 73.44 | 11 |
| 3 2 3 | 73.58 | 12 |
| 2 4 0 | 73.73 | 12 |
| 2 4 6 | 87.60 | 7 |


[7]
Calculated powder diffractogram of Sc4Ni for Cu Kα (weighted mean of Kα1 and Kα2), from the GGA-PBE geometry in Alexandria.
Kinematic intensities with the Lorentz-polarization factor, no thermal factor.

Cell and atoms:
Cell: 7.854 7.854 7.303 Å, 90.00 90.00 90.00°
Space group I-42d (No. 122)
Inequivalent atoms, fractional coordinates:
Sc 0.026 0.698 0.411
Ni 0.000 0.000 0.500

Largest 12 diffraction maxima, sorted by position, 2θ = 10–90°:
| hkl | Position (°2θ) | I/Imax |
| --- | --- | --- |
| 1 0 1 | 16.58 | 41 |
| 2 0 0 | 22.64 | 44 |
| 1 1 2 | 29.27 | 17 |
| 2 0 2 | 33.51 | 100 |
| 3 0 1 | 36.46 | 73 |
| 1 0 3 | 38.73 | 51 |
| 3 2 1 | 43.35 | 50 |
| 3 1 2 | 44.10 | 37 |
| 4 0 0 | 46.24 | 25 |
| 3 3 2 | 55.67 | 18 |
| 4 3 1 | 60.27 | 23 |
| 2 2 4 | 60.71 | 18 |


[8]
Calculated powder diffractogram of Sc5Ni2 for Cu Kα (weighted mean of Kα1 and Kα2), from the GGA-PBE geometry in Alexandria.
Kinematic intensities with the Lorentz-polarization factor, no thermal factor.

Cell and atoms:
Cell: 15.050 5.987 6.327 Å, 90.00 96.05 90.00°
Space group C2/c (No. 15)
Inequivalent atoms, fractional coordinates:
Sc 0.000 0.063 0.250
Sc 0.094 0.380 0.926
Sc 0.220 0.062 0.309
Ni 0.111 0.213 0.562

Largest 12 diffraction maxima, sorted by position, 2θ = 10–90°:
| hkl | Position (°2θ) | I/Imax |
| --- | --- | --- |
| 1 1 1 | 21.75 | 79 |
| 0 2 1 | 33.14 | 36 |
| 5 1 0 | 33.47 | 62 |
| 2 2 -1 | 34.77 | 41 |
| 4 0 -2 | 35.29 | 49 |
| 2 2 1 | 35.83 | 54 |
| 5 1 1 | 37.74 | 52 |
| 4 2 0 | 38.50 | 100 |
| 4 0 2 | 39.31 | 55 |
| 0 2 2 | 41.65 | 40 |
| 6 0 -2 | 43.88 | 32 |
| 1 1 -3 | 45.63 | 32 |